The following is a simulated PXRD pattern of Zn4Cu3. It was derived from a crystal structure in Alexandria, relaxed with PBE, using Cu Kα.
Lines closer than 0.1° are merged.

Structure:
Lattice parameters (Å, degrees): 12.8195 2.6062 6.4671 90.00 117.76 90.00
Space group C2/m (No. 12)
Symmetry-distinct sites (fractional):
1 Zn 0.0846 0.0000 0.2136 x4
2 Zn 0.1343 0.5000 0.8876 x4
3 Cu 0.0000 0.0000 0.5000 x2
4 Cu 0.2217 0.0000 0.6500 x4

Largest 10 diffraction maxima, in order of rising 2θ, 2θ from 10° to 90°:
| Position (°2θ) | Rel. int. | index |
| --- | --- | --- |
| 35.3 | 18 | 1 1 0 |
| 40.3 | 21 | 1 1 1 |
| 40.8 | 100 | 3 1 -1 |
| 41.6 | 84 | 4 0 1 |
| 42.4 | 78 | 2 0 -3 |
| 43.4 | 76 | 6 0 -2 |
| 45.2 | 25 | 1 1 -2 |
| 49.1 | 24 | 3 1 1 |
| 50.5 | 47 | 1 1 2 |
| 77.8 | 20 | 10 0 -1 |